[1]
For Mn4HgSb, DFT lattice parameters and positions (GGA-PBE) gives the computed PXRD pattern in this record (Cu Kα).
Kinematic intensities with the Lorentz-polarization factor, no thermal factor.

Top 8 peaks for 2θ from 10° to 80°, in order of falling intensity:
(hkl), two_theta, I_rel
3 1 1, 41.6, 100
2 2 0, 35.2, 69
5 1 1, 67.5, 31
4 2 2, 63.2, 26
1 1 1, 21.4, 24
4 4 0, 74.5, 21
2 2 2, 43.5, 14
3 3 1, 55.6, 7

Atomic structure:
```
data_Mn4HgSb
_chemical_formula_sum 'Mn16 Hg4 Sb4'
_cell_length_a 7.206
_cell_length_b 7.206
_cell_length_c 7.206
_cell_angle_alpha 90.00
_cell_angle_beta 90.00
_cell_angle_gamma 90.00
_symmetry_space_group_name_H-M 'F -4 3 m'
_symmetry_Int_Tables_number 216
_symmetry_space_group_name_Hall 'F -4 2 3'
loop_
_atom_site_label
_atom_site_type_symbol
_atom_site_fract_x
_atom_site_fract_y
_atom_site_fract_z
Mn1 Mn 0.125 0.125 0.125
Hg1 Hg 0.000 0.000 0.500
Sb1 Sb 0.250 0.250 0.750
```

[2]
For Zr2Re, DFT lattice parameters and positions (GGA-PBE) gives the computed PXRD pattern in this record (Cu Kα).
Kinematic intensities with the Lorentz-polarization factor, no thermal factor.

Top 8 peaks for 2θ from 10° to 80°, in order of falling intensity:
(hkl), two_theta, I_rel
2 0 2, 41.1, 100
1 1 0, 19.3, 82
1 1 2, 35.9, 80
2 1 1, 34.3, 66
3 1 0, 44.1, 65
2 2 0, 39.2, 41
3 3 2, 69.0, 32
3 1 4, 79.4, 23

Atomic structure:
```
data_Zr2Re
_chemical_formula_sum 'Zr8 Re4'
_cell_length_a 6.493
_cell_length_b 6.493
_cell_length_c 5.964
_cell_angle_alpha 90.00
_cell_angle_beta 90.00
_cell_angle_gamma 90.00
_symmetry_space_group_name_H-M 'I 4/m c m'
_symmetry_Int_Tables_number 140
_symmetry_space_group_name_Hall '-I 4 2c'
loop_
_atom_site_label
_atom_site_type_symbol
_atom_site_fract_x
_atom_site_fract_y
_atom_site_fract_z
Zr1 Zr 0.177 0.323 0.000
Re1 Re 0.000 0.000 0.250
```